Structure and theoretical X-ray powder pattern of Tl9GeTe6 (a cell relaxed with GGA-PBE; Cu Ka).

Cell and atoms:
abc: 8.855 8.855 13.371
angles: 90.00 90.00 90.00
Space group I4/m (No. 87)
One atom of each set of equivalent atoms:
Tl 0.000 0.000 0.000 x2
Tl 0.146 0.350 0.343 x16
Ge 0.000 0.000 0.500 x2
Te 0.000 0.000 0.269 x4
Te 0.148 0.677 0.500 x8

Top 10 peaks for 2θ from 10° to 80°, low angle first:
- 2θ = 23.4°, I = 9, hkl 2 1 1
- 2θ = 30.2°, I = 100, hkl 1 2 3
- 2θ = 30.3°, I = 11, hkl 1 1 4
- 2θ = 32.0°, I = 47, hkl 3 1 0
- 2θ = 40.5°, I = 10, hkl 0 0 6
- 2θ = 47.0°, I = 12, hkl 4 1 3
- 2θ = 52.5°, I = 12, hkl 3 1 6
- 2θ = 60.0°, I = 21, hkl 2 5 3
- 2θ = 60.8°, I = 8, hkl 3 3 6
- 2θ = 67.3°, I = 8, hkl 2 1 9